# PaTe2O4
Theoretical X-ray powder pattern, Cu Kα (weighted mean of Kα1 and Kα2). Input: a cell relaxed with PBE.

Peak list (12 most intense, 10 to 90 degrees two-theta, in order of rising 2θ)
- 2θ 24.90, intensity 470, (2 2 0)
- 2θ 29.29, intensity 1000, (3 1 1)
- 2θ 30.63, intensity 119, (2 2 2)
- 2θ 43.86, intensity 216, (4 2 2)
- 2θ 46.67, intensity 375, (3 3 3)
- 2θ 51.09, intensity 378, (4 4 0)
- 2θ 57.65, intensity 98, (6 2 0)
- 2θ 59.99, intensity 134, (5 3 3)
- 2θ 60.75, intensity 59, (6 2 2)
- 2θ 69.57, intensity 113, (6 4 2)
- 2θ 71.69, intensity 238, (7 3 1)
- 2θ 82.63, intensity 128, (7 5 1)

Atomic structure:
Lattice parameters (Å, degrees): 10.1124 10.1124 10.1124 90.00 90.00 90.00
Space group Fd-3m (No. 227, origin choice 2)
Asymmetric unit:
Pa: 0.1250 0.1250 0.1250
Te: 0.0000 0.0000 0.5000
O: 0.0002 0.0002 0.2498

=====

# DyEr2Hg5
Theoretical X-ray powder pattern, Cu Kα (weighted mean of Kα1 and Kα2). Input: a cell relaxed with PBE.

Peak list (12 most intense, 10 to 90 degrees two-theta, in order of rising 2θ)
- 2θ 34.67, intensity 1000, (1 2 2)
- 2θ 34.78, intensity 226, (0 0 4)
- 2θ 35.30, intensity 258, (2 0 0)
- 2θ 49.29, intensity 92, (0 4 0)
- 2θ 50.40, intensity 161, (2 0 4)
- 2θ 61.74, intensity 76, (0 4 4)
- 2θ 62.08, intensity 89, (2 4 0)
- 2θ 62.29, intensity 140, (1 2 6)
- 2θ 62.95, intensity 182, (3 2 2)
- 2θ 73.16, intensity 93, (2 4 4)
- 2θ 82.72, intensity 65, (1 6 2)
- 2θ 84.41, intensity 59, (3 2 6)

Atomic structure:
Lattice parameters (Å, degrees): 5.0853 7.3940 10.3173 90.00 90.00 90.00
Space group Amm2 (No. 38)
Asymmetric unit:
Dy: 0.0000 0.0000 0.0000
Er: 0.0000 0.0000 0.5561
Er: 0.5000 0.0000 0.2599
Hg: 0.0000 0.2211 0.2800
Hg: 0.5000 0.0000 0.7616
Hg: 0.5000 0.2454 0.5079

=====

# Rb4Zr3Te16
Theoretical X-ray powder pattern, Cu Kα (weighted mean of Kα1 and Kα2). Input: a cell relaxed with PBE.

Peak list (12 most intense, 10 to 90 degrees two-theta, in order of rising 2θ)
- 2θ 10.94, intensity 1000, (0 2 1)
- 2θ 11.67, intensity 268, (0 0 2)
- 2θ 25.07, intensity 337, (2 0 -4)
- 2θ 25.22, intensity 428, (2 4 -2)
- 2θ 28.07, intensity 260, (2 4 2)
- 2θ 29.35, intensity 504, (3 1 -4)
- 2θ 32.24, intensity 604, (3 5 -1)
- 2θ 33.22, intensity 244, (0 6 3)
- 2θ 34.60, intensity 212, (3 3 3)
- 2θ 35.03, intensity 254, (0 4 5)
- 2θ 36.43, intensity 218, (3 1 4)
- 2θ 48.95, intensity 341, (0 2 8)

Atomic structure:
Lattice parameters (Å, degrees): 12.1342 19.1279 15.5141 90.00 102.18 90.00
Space group C2/c (No. 15)
Asymmetric unit:
Rb: 0.1033 0.1480 0.4329
Rb: 0.1148 0.3634 0.8730
Zr: 0.0000 0.3893 0.2500
Zr: 0.1787 0.1153 0.7707
Te: 0.0126 0.0652 0.8739
Te: 0.0477 0.3517 0.4409
Te: 0.1221 0.4620 0.1277
Te: 0.1444 0.2413 0.6610
Te: 0.1494 0.1808 0.9392
Te: 0.1492 0.2697 0.2161
Te: 0.1873 0.0399 0.2426
Te: 0.1991 0.4496 0.3701

=====

# Pr2NdMg3AgPt2
Theoretical X-ray powder pattern, Cu Kα (weighted mean of Kα1 and Kα2). Input: a cell relaxed with PBE.

Peak list (12 most intense, 10 to 90 degrees two-theta, in order of rising 2θ)
- 2θ 13.26, intensity 306, (0 1 1)
- 2θ 23.07, intensity 458, (0 0 2)
- 2θ 31.73, intensity 856, (1 3 1)
- 2θ 34.52, intensity 1000, (1 4 0)
- 2θ 35.56, intensity 205, (0 1 3)
- 2θ 40.52, intensity 337, (0 6 0)
- 2θ 41.93, intensity 280, (1 4 2)
- 2θ 43.78, intensity 219, (2 0 0)
- 2θ 47.14, intensity 176, (0 6 2)
- 2θ 54.26, intensity 173, (1 7 1)
- 2θ 61.17, intensity 200, (2 6 0)
- 2θ 64.90, intensity 219, (1 7 3)

Atomic structure:
Lattice parameters (Å, degrees): 4.1355 13.3505 7.7154 90.00 90.00 90.00
Space group Amm2 (No. 38)
Asymmetric unit:
Pr: 0.0000 0.2103 0.0000
Nd: 0.0000 0.0000 0.6306
Mg: 0.5000 0.0000 0.9616
Mg: 0.5000 0.1236 0.3347
Ag: 0.0000 0.0000 0.2111
Pt: 0.5000 0.1658 0.7098

=====

# TbHo2In3Pt2
Theoretical X-ray powder pattern, Cu Kα (weighted mean of Kα1 and Kα2). Input: a cell relaxed with PBE.

Peak list (12 most intense, 10 to 90 degrees two-theta, in order of rising 2θ)
- 2θ 13.28, intensity 264, (0 2 0)
- 2θ 33.94, intensity 1000, (1 0 2)
- 2θ 35.63, intensity 693, (0 5 1)
- 2θ 36.59, intensity 686, (1 2 2)
- 2θ 40.60, intensity 191, (0 3 3)
- 2θ 43.73, intensity 147, (1 5 1)
- 2θ 49.26, intensity 105, (0 5 3)
- 2θ 50.25, intensity 168, (2 0 0)
- 2θ 55.79, intensity 209, (1 7 1)
- 2θ 63.11, intensity 259, (2 5 1)
- 2θ 66.28, intensity 117, (1 8 2)
- 2θ 69.59, intensity 157, (1 6 4)

Atomic structure:
Lattice parameters (Å, degrees): 3.6316 13.3484 7.6885 90.00 90.00 90.00
Space group Amm2 (No. 38)
Asymmetric unit:
Tb: 0.0000 0.0000 0.0000
Ho: 0.0000 0.2106 0.3688
In: 0.5000 0.0000 0.3497
In: 0.5000 0.1156 0.6941
Pt: 0.5000 0.1679 0.0800

=====

# Dy2Er2InGe4Pd2
Theoretical X-ray powder pattern, Cu Kα (weighted mean of Kα1 and Kα2). Input: a cell relaxed with PBE.

Peak list (12 most intense, 10 to 90 degrees two-theta, in order of rising 2θ)
- 2θ 32.79, intensity 781, (3 1 1)
- 2θ 34.07, intensity 202, (6 0 -1)
- 2θ 34.27, intensity 505, (3 1 -2)
- 2θ 35.63, intensity 1000, (1 1 2)
- 2θ 36.53, intensity 321, (5 1 0)
- 2θ 37.50, intensity 170, (6 0 -2)
- 2θ 39.60, intensity 313, (4 0 -3)
- 2θ 41.78, intensity 190, (6 0 1)
- 2θ 42.68, intensity 426, (0 2 0)
- 2θ 56.73, intensity 137, (9 1 -1)
- 2θ 59.63, intensity 182, (4 2 -3)
- 2θ 73.55, intensity 154, (1 3 2)

Atomic structure:
Lattice parameters (Å, degrees): 15.8317 4.2371 7.1606 90.00 107.40 90.00
Space group C2/m (No. 12)
Asymmetric unit:
Dy: 0.1556 0.0000 0.4229
Er: 0.0873 0.0000 0.8829
In: 0.0000 0.5000 0.5000
Ge: 0.0617 0.5000 0.1593
Ge: 0.1904 0.5000 0.7372
Pd: 0.2190 0.5000 0.1295

=====

# Dy3Ho2Lu2Te2Ir2
Theoretical X-ray powder pattern, Cu Kα (weighted mean of Kα1 and Kα2). Input: a cell relaxed with PBE.

Peak list (12 most intense, 10 to 90 degrees two-theta, in order of rising 2θ)
- 2θ 11.32, intensity 269, (0 2 0)
- 2θ 28.42, intensity 130, (1 3 0)
- 2θ 30.19, intensity 555, (0 5 1)
- 2θ 33.47, intensity 446, (0 3 3)
- 2θ 33.71, intensity 1000, (1 4 1)
- 2θ 34.39, intensity 511, (1 3 2)
- 2θ 36.75, intensity 250, (1 0 3)
- 2θ 38.57, intensity 273, (1 2 3)
- 2θ 39.59, intensity 119, (0 6 2)
- 2θ 42.73, intensity 105, (1 6 1)
- 2θ 46.12, intensity 277, (2 0 0)
- 2θ 58.18, intensity 184, (2 3 3)

Atomic structure:
Lattice parameters (Å, degrees): 3.9359 15.6283 9.3642 90.00 90.00 90.00
Space group Imm2 (No. 44)
Asymmetric unit:
Dy: 0.0000 0.0000 0.0000
Dy: 0.0000 0.3523 0.7345
Ho: 0.0000 0.1321 0.5847
Lu: 0.0000 0.3149 0.3725
Te: 0.0000 0.0000 0.3388
Te: 0.0000 0.5000 0.2369
Ir: 0.0000 0.2385 0.0690

=====

# ZrTlCu2Se4
Theoretical X-ray powder pattern, Cu Kα (weighted mean of Kα1 and Kα2). Input: a cell relaxed with PBE.

Peak list (12 most intense, 10 to 90 degrees two-theta, in order of rising 2θ)
- 2θ 16.65, intensity 67, (1 0 1)
- 2θ 25.90, intensity 1000, (1 1 2)
- 2θ 26.91, intensity 121, (1 0 3)
- 2θ 34.56, intensity 143, (1 2 1)
- 2θ 42.88, intensity 464, (2 0 4)
- 2θ 43.04, intensity 218, (2 2 0)
- 2θ 50.64, intensity 152, (1 1 6)
- 2θ 50.92, intensity 278, (3 1 2)
- 2θ 60.79, intensity 59, (2 3 3)
- 2θ 68.58, intensity 98, (1 3 6)
- 2θ 78.45, intensity 64, (2 2 8)
- 2θ 78.78, intensity 108, (4 2 4)

Atomic structure:
Lattice parameters (Å, degrees): 5.9443 5.9443 11.9735 90.00 90.00 90.00
Space group I-4 (No. 82)
Asymmetric unit:
Zr: 0.0000 0.0000 0.0000
Tl: 0.0000 0.5000 0.7500
Cu: 0.0000 0.0000 0.5000
Cu: 0.0000 0.5000 0.2500
Se: 0.2061 0.7220 0.3866

=====

What is the formula in the sixth record? Dy2Er2InGe4Pd2